Entry 1:
Diffraction record for S2I2O11. The X-ray powder pattern is calculated, not measured: it uses a crystal structure in Alexandria, relaxed with PBE and Cu Kα, 1.54184 Å.
Intensities are scaled so that the largest is 100.

```
60
Lattice="18.619 0.000 0.000 0.000 4.730 0.000 0.000 0.000 10.745" Properties=species:S:1:pos:R:3 pbc="T T T"
S 1.803 0.216 0.000
S 2.846 0.195 8.075
S 6.464 2.561 2.702
S 7.506 2.582 5.372
S 11.113 2.149 0.000
S 12.155 2.170 8.075
S 15.773 4.535 2.702
S 16.816 4.514 5.372
I 0.939 3.804 3.378
I 3.744 3.386 4.673
I 5.565 1.021 10.046
I 8.371 1.439 8.751
I 10.248 3.291 3.378
I 13.054 3.710 4.673
I 14.875 1.345 10.046
I 17.680 0.926 8.751
O 0.834 1.210 10.181
O 0.855 0.841 3.343
O 1.161 3.904 0.783
O 1.681 0.813 7.491
O 1.769 3.541 5.129
O 2.334 4.087 9.427
O 2.917 3.586 2.916
O 2.942 0.881 0.581
O 3.519 3.890 7.321
O 3.782 1.231 8.623
O 3.849 1.627 4.852
O 5.460 3.992 10.225
O 5.528 3.596 3.250
O 5.790 1.525 1.949
O 6.368 3.246 5.954
O 6.393 1.221 8.288
O 6.975 1.722 4.054
O 7.540 1.175 10.502
O 7.628 3.178 2.119
O 8.148 1.539 6.156
O 8.454 3.207 8.715
O 8.475 3.575 4.808
O 10.144 1.155 10.181
O 10.165 1.524 3.343
O 10.471 3.191 0.783
O 10.991 1.553 7.491
O 11.079 3.555 5.129
O 11.644 3.009 9.427
O 12.226 3.510 2.916
O 12.251 1.484 0.581
O 12.829 3.205 7.321
O 13.091 1.134 8.623
O 13.159 0.738 4.852
O 14.770 3.103 10.225
O 14.837 3.499 3.250
O 15.100 0.840 1.949
O 15.677 3.849 5.954
O 15.702 1.144 8.288
O 16.285 0.643 4.054
O 16.850 1.190 10.502
O 16.938 3.918 2.119
O 17.458 0.826 6.156
O 17.764 3.889 8.715
O 17.785 3.520 4.808
```

Principal peaks in the range 2θ from 15° to 90°, in order of rising 2θ:
d = 5.372 Å, 16.50 deg, intensity 52, (0 0 2); d = 4.653 Å, 19.07 deg, intensity 17, (2 0 2); d = 4.585 Å, 19.36 deg, intensity 22, (1 1 0); d = 4.329 Å, 20.51 deg, intensity 100, (0 1 1); d = 4.271 Å, 20.80 deg, intensity 29, (4 0 1); d = 4.217 Å, 21.07 deg, intensity 35, (2 1 0); d = 2.981 Å, 29.97 deg, intensity 35, (6 0 1); d = 2.839 Å, 31.52 deg, intensity 37, (4 0 3); d = 2.823 Å, 31.70 deg, intensity 23, (4 1 2); d = 2.088 Å, 43.34 deg, intensity 29, (4 1 4)

Entry 2:
Diffraction record for Sb8I2O11. The X-ray powder pattern is calculated, not measured: it uses a crystal structure in Alexandria, relaxed with PBE and Cu Kα, 1.54184 Å.
Intensities are scaled so that the largest is 100.

```
21
Lattice="4.242 0.000 0.000 1.829 10.177 0.000 1.556 2.970 10.365" Properties=species:S:1:pos:R:3 pbc="T T T"
Sb 0.000 0.000 0.000
Sb 1.441 7.059 1.703
Sb 1.323 2.482 2.498
Sb 2.872 7.449 6.811
Sb 3.423 9.231 3.256
Sb 2.951 3.843 7.036
Sb 4.965 9.328 8.694
Sb 4.963 6.321 10.335
I 5.176 5.154 4.676
I 6.949 11.657 6.319
O 1.657 8.205 0.042
O 2.919 8.655 8.433
O 1.349 3.316 0.687
O 2.892 5.696 7.816
O 3.206 10.571 1.641
O 2.936 3.098 8.931
O 3.480 7.582 2.152
O 3.435 5.339 0.084
O 3.479 2.750 1.958
O 5.038 7.773 7.353
O 5.577 8.781 2.876
```

Principal peaks in the range 2θ from 15° to 90°, in order of rising 2θ:
d = 5.199 Å, 17.06 deg, intensity 44, (0 1 2); d = 4.017 Å, 22.13 deg, intensity 37, (0 2 -1); d = 3.564 Å, 24.99 deg, intensity 100, (1 1 2); d = 3.456 Å, 25.78 deg, intensity 42, (-1 1 1); d = 3.184 Å, 28.03 deg, intensity 71, (0 3 2); d = 3.150 Å, 28.33 deg, intensity 73, (0 2 -2); d = 3.099 Å, 28.81 deg, intensity 60, (1 0 -2); d = 3.009 Å, 29.69 deg, intensity 46, (0 1 -3); d = 2.764 Å, 32.39 deg, intensity 33, (1 3 0); d = 2.118 Å, 42.69 deg, intensity 36, (2 1 1)

Entry 3:
Diffraction record for Sb5IO7. The X-ray powder pattern is calculated, not measured: it uses a crystal structure in Alexandria, relaxed with PBE and Cu Kα, 1.54184 Å.
Intensities are scaled so that the largest is 100.

```
52
Lattice="7.041 0.000 0.000 0.000 13.179 0.000 -6.710 0.000 11.671" Properties=species:S:1:pos:R:3 pbc="T T T"
Sb -2.669 3.198 5.152
Sb -6.024 3.392 10.988
Sb -1.614 7.299 6.610
Sb 1.740 12.470 0.774
Sb 1.805 7.378 0.822
Sb -1.549 12.391 6.658
Sb 0.706 3.165 2.952
Sb -2.648 3.425 8.787
Sb -0.150 9.681 4.626
Sb -3.505 10.088 10.462
Sb 3.836 3.092 1.209
Sb 0.481 3.498 7.045
Sb 2.980 9.754 2.884
Sb -0.375 10.015 8.719
Sb 1.881 0.788 5.013
Sb -1.474 5.801 10.849
Sb -1.409 0.710 10.897
Sb 1.946 5.880 5.061
Sb 6.356 9.787 0.683
Sb 3.001 9.982 6.519
I -4.491 6.672 8.972
I -1.137 13.097 3.136
I 1.468 0.083 8.535
I 4.823 6.507 2.699
O -6.522 8.173 11.617
O -3.167 11.596 5.782
O -2.661 8.799 5.707
O -6.015 10.970 11.542
O 1.756 3.279 1.081
O -1.599 3.310 6.916
O 1.443 8.502 2.491
O -1.912 11.267 8.326
O 0.032 8.024 5.707
O -3.323 11.745 11.542
O 3.087 8.941 0.444
O -0.268 10.828 6.279
O -1.360 8.352 8.273
O 1.995 11.417 2.438
O -1.664 1.762 9.233
O 1.691 4.827 3.398
O 0.599 2.351 5.392
O -2.755 4.238 11.227
O 3.655 1.435 0.129
O 0.300 5.155 5.964
O 2.243 1.913 3.345
O -1.111 4.677 9.180
O 1.930 9.869 4.755
O -1.424 9.900 10.590
O 6.347 2.209 0.129
O 2.992 4.380 5.964
O 3.499 1.583 5.889
O 6.854 5.006 0.054
```

Principal peaks in the range 2θ from 15° to 90°, in order of rising 2θ:
d = 3.566 Å, 24.97 deg, intensity 44, (1 3 0); d = 3.535 Å, 25.19 deg, intensity 38, (1 3 -2); d = 3.400 Å, 26.21 deg, intensity 41, (2 1 -2); d = 3.334 Å, 26.74 deg, intensity 35, (1 1 2); d = 3.294 Å, 27.07 deg, intensity 55, (0 4 0); d = 3.260 Å, 27.36 deg, intensity 46, (1 1 -4); d = 3.104 Å, 28.76 deg, intensity 81, (2 2 -2); d = 3.054 Å, 29.24 deg, intensity 100, (1 2 2); d = 2.997 Å, 29.82 deg, intensity 47, (1 2 -4); d = 2.671 Å, 33.55 deg, intensity 46, (1 3 -4)

Entry 4:
Diffraction record for Sb4I2O5. The X-ray powder pattern is calculated, not measured: it uses a crystal structure in Alexandria, relaxed with PBE and Cu Kα, 1.54184 Å.
Intensities are scaled so that the largest is 100.

```
22
Lattice="7.189 0.000 0.000 0.000 5.285 0.000 -1.399 0.000 13.817" Properties=species:S:1:pos:R:3 pbc="T T T"
Sb 1.083 1.174 0.689
Sb 0.384 1.468 7.597
Sb 0.881 3.206 4.077
Sb 0.182 4.722 10.985
Sb 5.609 0.564 2.832
Sb 4.909 2.079 9.740
Sb 5.407 3.817 6.219
Sb 4.707 4.111 13.128
I 3.007 1.104 5.247
I 2.308 1.538 12.155
I 3.483 3.747 1.662
I 2.783 4.181 8.570
O -0.699 0.000 6.908
O 0.000 2.643 0.000
O -0.819 0.036 12.687
O -0.119 2.607 5.779
O -0.510 0.913 9.799
O 0.190 1.730 2.891
O 5.601 3.556 10.926
O 6.300 4.372 4.018
O 5.910 2.679 8.038
O 6.609 5.250 1.130
```

Principal peaks in the range 2θ from 15° to 90°, in order of rising 2θ:
d = 3.996 Å, 22.25 deg, intensity 24, (1 1 1); d = 3.527 Å, 25.25 deg, intensity 100, (1 1 2); d = 3.241 Å, 27.52 deg, intensity 52, (1 0 -4); d = 2.808 Å, 31.86 deg, intensity 49, (2 1 -2); d = 2.594 Å, 34.57 deg, intensity 16, (0 2 1); d = 2.384 Å, 37.73 deg, intensity 20, (3 0 0); d = 2.368 Å, 38.00 deg, intensity 19, (2 0 4); d = 2.111 Å, 42.84 deg, intensity 26, (0 1 6); d = 1.658 Å, 55.41 deg, intensity 19, (4 0 -4); d = 1.610 Å, 57.22 deg, intensity 12, (4 1 2)